Structure and simulated X-ray powder pattern of K2NiP4H8O16 (the PBE+U geometry in Alexandria; Cu Kα).
Lines closer than 0.1° are merged.

Principal peaks in the range 5 to 70 degrees two-theta, by angle:
2θ/deg	I (rel.)
12.3	47
13.3	34
17.4	37
18.3	68
24.3	100
26.0	36
26.7	39
27.5	41
30.0	44
34.7	37

Cell and atoms:
```
data_K2NiP4H8O16
_chemical_formula_sum 'K2 Ni1 P4 H8 O16'
_symmetry_space_group_name_H-M 'P -1'
_symmetry_Int_Tables_number 2
_cell_length_a 6.980
_cell_length_b 7.433
_cell_length_c 7.598
_cell_angle_alpha 81.17
_cell_angle_beta 73.44
_cell_angle_gamma 84.35
loop_
_symmetry_equiv_pos_as_xyz
'x,y,z'
'-x,-y,-z'
loop_
_atom_site_label
_atom_site_type_symbol
_atom_site_fract_x
_atom_site_fract_y
_atom_site_fract_z
K1 K 0.122 0.240 0.296
Ni1 Ni 0.500 0.000 0.500
P1 P 0.254 0.310 0.759
P2 P 0.325 0.770 0.244
H1 H 0.052 0.770 0.076
H2 H 0.249 0.547 0.477
H3 H 0.370 0.824 0.853
H4 H 0.381 0.687 0.709
O1 O 0.077 0.280 0.940
O2 O 0.235 0.581 0.341
O3 O 0.239 0.837 0.082
O4 O 0.254 0.509 0.670
O5 O 0.264 0.173 0.627
O6 O 0.300 0.899 0.386
O7 O 0.439 0.273 0.852
O8 O 0.445 0.794 0.727
```